1.
LuGeRu: computed powder diffractogram (λ = 1.5418 Å (Cu Kα)), based on DFT lattice parameters and positions (PBE).
No peak broadening, texture or thermal motion is included.

Main lines, low angle first (2θ = 15–90°):
two_theta  I/Imax
34.68  70
35.52  100
35.72  29
39.10  23
41.09  28
42.03  41
42.55  35
69.05  26

Crystal structure
```
12
Lattice="6.9073 0.0000 0.0000 0.0000 4.2997 0.0000 0.0000 0.0000 7.3311" Properties=species:S:1:pos:R:3 pbc="T T T"
Lu 0.0369 1.0749 1.4005
Lu 3.4167 3.2248 5.0661
Lu 3.4906 1.0749 2.2650
Lu 6.8703 3.2248 5.9306
Ge 1.4266 1.0749 4.4823
Ge 2.0271 3.2248 0.8168
Ge 4.8802 1.0749 6.5143
Ge 5.4807 3.2248 2.8488
Ru 1.0898 3.2248 3.2146
Ru 2.3638 1.0749 6.8801
Ru 4.5434 3.2248 0.4510
Ru 5.8175 1.0749 4.1165
```

2.
LuGe2Ru: computed powder diffractogram (λ = 1.5418 Å (Cu Kα)), based on DFT lattice parameters and positions (PBE).
No peak broadening, texture or thermal motion is included.

Main lines, low angle first (2θ = 15–90°):
two_theta  I/Imax
35.30  45
36.47  80
38.04  43
38.46  100
40.52  35
43.57  29
59.55  16
62.78  15

Crystal structure
```
48
Lattice="9.5938 0.0000 0.0000 0.0000 10.5482 0.0000 0.0000 0.0000 8.3085" Properties=species:S:1:pos:R:3 pbc="T T T"
Lu 1.5778 1.8652 0.0000
Lu 1.6944 4.7459 2.0287
Lu 1.6944 4.7459 6.2798
Lu 3.1025 10.0200 2.0287
Lu 3.1025 10.0200 6.2798
Lu 3.2191 7.1393 0.0000
Lu 6.3747 3.4089 0.0000
Lu 6.4913 0.5281 2.0287
Lu 6.4913 0.5281 6.2798
Lu 7.8994 5.8022 2.0287
Lu 7.8994 5.8022 6.2798
Lu 8.0160 8.6830 0.0000
Ge 0.3421 6.5273 0.0000
Ge 0.4130 6.5213 4.1542
Ge 1.1887 9.5344 4.1542
Ge 1.2368 9.4809 0.0000
Ge 1.5149 1.8932 2.8842
Ge 1.5149 1.8932 5.4243
Ge 3.2820 7.1673 2.8842
Ge 3.2820 7.1673 5.4243
Ge 3.5600 4.2068 0.0000
Ge 3.6082 4.2603 4.1542
Ge 4.3838 1.2472 4.1542
Ge 4.4548 1.2532 0.0000
Ge 5.1390 9.2950 0.0000
Ge 5.2099 9.3009 4.1542
Ge 5.9856 6.2879 4.1542
Ge 6.0337 6.3414 0.0000
Ge 6.3118 3.3809 2.8842
Ge 6.3118 3.3809 5.4243
Ge 8.0789 8.6549 2.8842
Ge 8.0789 8.6549 5.4243
Ge 8.3569 1.0673 0.0000
Ge 8.4051 1.0138 4.1542
Ge 9.1807 4.0268 4.1542
Ge 9.2517 4.0209 0.0000
Ru 0.0000 0.0000 2.0639
Ru 0.0000 0.0000 6.2446
Ru 0.8501 7.7741 2.0848
Ru 0.8501 7.7741 6.2237
Ru 3.9468 2.5000 2.0848
Ru 3.9468 2.5000 6.2237
Ru 4.7969 5.2741 2.0639
Ru 4.7969 5.2741 6.2446
Ru 5.6470 8.0482 2.0848
Ru 5.6470 8.0482 6.2237
Ru 8.7436 2.7741 2.0848
Ru 8.7436 2.7741 6.2237
```